Starting from a DFT-relaxed cell (PBE, OQMD), the powder diffraction line list of Zr2U was calculated for Cu Kα X-rays.

Peak list (6 most intense, 5° ≤ 2θ ≤ 70°, low angle first)
- (0 2 1), 2θ = 19.58°, intensity 44
- (0 0 2), 2θ = 33.58°, intensity 59
- (1 3 0), 2θ = 33.72°, intensity 53
- (0 6 1), 2θ = 35.56°, intensity 100
- (1 3 1), 2θ = 37.81°, intensity 93
- (1 3 2), 2θ = 48.33°, intensity 38

Crystal structure
a b c (Å): 3.0005 17.1927 5.3370
angles (deg): 90.00 90.00 90.00
Space group Cmcm (No. 63)
Symmetry-distinct sites (fractional):
Zr: 0.0000 0.0438 0.2500 [4 per cell]
Zr: 0.0000 0.2878 0.7500 [4 per cell]
U: 0.0000 0.3771 0.2500 [4 per cell]

Starting from a DFT-relaxed cell (PBE, OQMD), the powder diffraction line list of Zr3U was calculated for Cu Kα X-rays.

Peak list (6 most intense, 5° ≤ 2θ ≤ 70°, low angle first)
- (1 1 0), 2θ = 16.31°, intensity 43
- (2 2 0), 2θ = 32.96°, intensity 67
- (0 0 2), 2θ = 35.19°, intensity 54
- (0 4 1), 2θ = 35.44°, intensity 100
- (2 2 1), 2θ = 37.50°, intensity 84
- (2 2 2), 2θ = 48.98°, intensity 44

Crystal structure
a b c (Å): 6.1419 11.6728 5.1008
angles (deg): 90.00 90.00 90.00
Space group Cmcm (No. 63)
Symmetry-distinct sites (fractional):
Zr: 0.0000 0.0729 0.2500 [4 per cell]
Zr: 0.2501 0.1852 0.7500 [8 per cell]
U: 0.0000 0.4491 0.7500 [4 per cell]

Starting from a DFT-relaxed cell (PBE, OQMD), the powder diffraction line list of ZrU was calculated for Cu Kα X-rays.

Peak list (6 most intense, 5° ≤ 2θ ≤ 70°, low angle first)
- (0 0 1), 2θ = 7.57°, intensity 100
- (1 0 2), 2θ = 34.27°, intensity 46
- (0 1 4), 2θ = 35.57°, intensity 64
- (0 2 0), 2θ = 35.71°, intensity 34
- (1 1 2), 2θ = 38.79°, intensity 43
- (1 2 2), 2θ = 50.33°, intensity 31

Crystal structure
a b c (Å): 2.9276 5.0289 11.6741
angles (deg): 90.00 90.00 90.00
Space group Pmmn (No. 59, origin choice 2)
Symmetry-distinct sites (fractional):
Zr: 0.2500 0.2500 0.0664 [2 per cell]
Zr: 0.2500 0.7500 0.1905 [2 per cell]
U: 0.2500 0.2500 0.5686 [2 per cell]
U: 0.2500 0.7500 0.6710 [2 per cell]

Starting from a DFT-relaxed cell (PBE, OQMD), the powder diffraction line list of ZrU was calculated for Cu Kα X-rays.

Peak list (6 most intense, 5° ≤ 2θ ≤ 70°, low angle first)
- (1 0 0), 2θ = 15.61°, intensity 23
- (1 0 2), 2θ = 32.36°, intensity 23
- (1 0 -3), 2θ = 35.02°, intensity 31
- (2 1 -1), 2θ = 35.34°, intensity 100
- (0 2 0), 2θ = 36.03°, intensity 55
- (1 1 2), 2θ = 37.17°, intensity 49

Crystal structure
a b c (Å): 5.9298 4.9852 7.7769
angles (deg): 90.00 106.83 90.00
Space group Pm (No. 6)
Symmetry-distinct sites (fractional):
Zr: 0.0000 0.0000 0.0000 [1 per cell]
Zr: 0.0989 0.5000 0.6093 [1 per cell]
Zr: 0.2684 0.5000 0.0043 [1 per cell]
Zr: 0.6697 0.5000 0.8039 [1 per cell]
Zr: 0.7985 0.0000 0.5592 [1 per cell]
U: 0.2565 0.0000 0.4354 [1 per cell]
U: 0.4019 0.0000 0.7834 [1 per cell]
U: 0.4515 0.5000 0.3767 [1 per cell]
U: 0.5944 0.0000 0.1359 [1 per cell]
U: 0.8064 0.5000 0.2393 [1 per cell]

Starting from a DFT-relaxed cell (PBE, OQMD), the powder diffraction line list of ZrZn2W was calculated for Cu Kα X-rays.

Peak list (6 most intense, 5° ≤ 2θ ≤ 70°, low angle first)
- (1 1 1), 2θ = 23.71°, intensity 17
- (2 0 0), 2θ = 27.44°, intensity 5
- (2 2 0), 2θ = 39.20°, intensity 100
- (3 1 1), 2θ = 46.32°, intensity 9
- (4 0 0), 2θ = 56.63°, intensity 17
- (3 3 1), 2θ = 62.25°, intensity 4

Crystal structure
a b c (Å): 6.5009 6.5009 6.5009
angles (deg): 90.00 90.00 90.00
Space group F-43m (No. 216)
Symmetry-distinct sites (fractional):
Zr: 0.0000 0.0000 0.0000 [4 per cell]
Zn: 0.0000 0.0000 0.5000 [4 per cell]
Zn: 0.2500 0.2500 0.2500 [4 per cell]
W: 0.2500 0.2500 0.7500 [4 per cell]

Starting from a DFT-relaxed cell (PBE, OQMD), the powder diffraction line list of Zr2W was calculated for Cu Kα X-rays.

Peak list (6 most intense, 5° ≤ 2θ ≤ 70°, low angle first)
- (0 2 1), 2θ = 21.65°, intensity 11
- (0 0 2), 2θ = 36.13°, intensity 23
- (1 3 1), 2θ = 37.07°, intensity 100
- (0 6 2), 2θ = 52.74°, intensity 13
- (1 3 3), 2θ = 65.58°, intensity 15
- (2 0 2), 2θ = 66.81°, intensity 17

Crystal structure
a b c (Å): 3.3911 14.5431 4.9726
angles (deg): 90.00 90.00 90.00
Space group Cmcm (No. 63)
Symmetry-distinct sites (fractional):
Zr: 0.0000 0.0767 0.2500 [4 per cell]
Zr: 0.0000 0.2298 0.7500 [4 per cell]
W: 0.0000 0.4225 0.2500 [4 per cell]

Starting from a DFT-relaxed cell (PBE, OQMD), the powder diffraction line list of Y was calculated for Cu Kα X-rays.

Peak list (6 most intense, 5° ≤ 2θ ≤ 70°, low angle first)
- (3 1 0), 2θ = 30.39°, intensity 61
- (2 0 1), 2θ = 30.63°, intensity 26
- (2 1 1), 2θ = 32.14°, intensity 100
- (5 1 1), 2θ = 56.06°, intensity 14
- (3 1 2), 2θ = 58.38°, intensity 18
- (5 2 1), 2θ = 58.86°, intensity 17

Crystal structure
a b c (Å): 9.3024 9.3024 3.7487
angles (deg): 90.00 90.00 90.00
Space group P4/mbm (No. 127)
Symmetry-distinct sites (fractional):
Y: 0.0000 0.0000 0.0000 [2 per cell]
Y: 0.1283 0.3717 0.0000 [4 per cell]
Y: 0.1700 0.6700 0.5000 [4 per cell]

Starting from a DFT-relaxed cell (PBE, OQMD), the powder diffraction line list of Y was calculated for Cu Kα X-rays.

Peak list (6 most intense, 5° ≤ 2θ ≤ 70°, low angle first)
- (2 0 0), 2θ = 27.64°, intensity 34
- (2 1 0), 2θ = 30.98°, intensity 100
- (2 1 1), 2θ = 34.02°, intensity 77
- (3 2 0), 2θ = 51.02°, intensity 24
- (3 2 1), 2θ = 53.09°, intensity 42
- (4 2 1), 2θ = 66.37°, intensity 21

Crystal structure
a b c (Å): 6.4547 6.4547 6.4547
angles (deg): 90.00 90.00 90.00
Space group Pm-3n (No. 223)
Symmetry-distinct sites (fractional):
Y: 0.0000 0.0000 0.0000 [2 per cell]
Y: 0.0000 0.2500 0.5000 [6 per cell]

Starting from a DFT-relaxed cell (PBE, OQMD), the powder diffraction line list of Y was calculated for Cu Kα X-rays.

Peak list (6 most intense, 5° ≤ 2θ ≤ 70°, low angle first)
- (1 0 1), 2θ = 30.70°, intensity 100
- (0 0 3), 2θ = 30.88°, intensity 33
- (0 1 2), 2θ = 35.65°, intensity 66
- (1 1 0), 2θ = 51.19°, intensity 23
- (1 0 4), 2θ = 51.42°, intensity 23
- (1 1 3), 2θ = 60.99°, intensity 27

Crystal structure
a b c (Å): 3.5689 3.5689 8.6870
angles (deg): 90.00 90.00 120.00
Space group P3_121 (No. 152)
Symmetry-distinct sites (fractional):
Y: 0.0000 0.3401 0.1667 [3 per cell]

Starting from a DFT-relaxed cell (PBE, OQMD), the powder diffraction line list of Y was calculated for Cu Kα X-rays.

Peak list (6 most intense, 5° ≤ 2θ ≤ 70°, low angle first)
- (4 0 0), 2θ = 28.72°, intensity 14
- (4 1 1), 2θ = 30.50°, intensity 100
- (3 3 2), 2θ = 33.82°, intensity 40
- (4 2 2), 2θ = 35.37°, intensity 14
- (4 3 1), 2θ = 36.86°, intensity 17
- (7 2 1), 2θ = 54.21°, intensity 25

Crystal structure
a b c (Å): 12.4332 12.4332 12.4332
angles (deg): 90.00 90.00 90.00
Space group I-43m (No. 217)
Symmetry-distinct sites (fractional):
Y: 0.0000 0.0000 0.0000 [2 per cell]
Y: 0.0553 0.3672 0.6328 [24 per cell]
Y: 0.0929 0.0929 0.7181 [24 per cell]
Y: 0.1743 0.1743 0.1743 [8 per cell]

Starting from a DFT-relaxed cell (PBE, OQMD), the powder diffraction line list of Y was calculated for Cu Kα X-rays.

Peak list (6 most intense, 5° ≤ 2θ ≤ 70°, low angle first)
- (1 0 1), 2θ = 30.73°, intensity 100
- (0 0 3), 2θ = 31.65°, intensity 31
- (0 1 2), 2θ = 35.90°, intensity 65
- (1 1 0), 2θ = 51.06°, intensity 23
- (1 0 4), 2θ = 52.28°, intensity 22
- (1 1 3), 2θ = 61.33°, intensity 26

Crystal structure
a b c (Å): 3.5773 3.5773 8.4810
angles (deg): 90.00 90.00 120.00
Space group R-3m (No. 166, hexagonal axes)
Symmetry-distinct sites (fractional):
Y: 0.0000 0.0000 0.0000 [3 per cell]

Starting from a DFT-relaxed cell (PBE, OQMD), the powder diffraction line list of Y was calculated for Cu Kα X-rays.

Peak list (6 most intense, 5° ≤ 2θ ≤ 70°, low angle first)
- (1 1 1), 2θ = 28.86°, intensity 19
- (0 6 0), 2θ = 31.11°, intensity 58
- (1 3 1), 2θ = 32.45°, intensity 100
- (0 4 2), 2θ = 36.08°, intensity 17
- (1 9 1), 2θ = 56.20°, intensity 20
- (2 6 0), 2θ = 59.78°, intensity 17

Crystal structure
a b c (Å): 3.6708 17.2511 6.0971
angles (deg): 90.00 90.00 90.00
Space group Fmm2 (No. 42)
Symmetry-distinct sites (fractional):
Y: 0.0000 0.0000 0.0000 [4 per cell]
Y: 0.0000 0.1649 0.6637 [8 per cell]

Starting from a DFT-relaxed cell (PBE, OQMD), the powder diffraction line list of YZn2 was calculated for Cu Kα X-rays.

Peak list (6 most intense, 5° ≤ 2θ ≤ 70°, low angle first)
- (0 0 2), 2θ = 36.06°, intensity 30
- (1 3 1), 2θ = 37.05°, intensity 100
- (0 6 0), 2θ = 39.44°, intensity 15
- (2 0 0), 2θ = 52.28°, intensity 10
- (0 6 2), 2θ = 54.50°, intensity 11
- (1 3 3), 2θ = 65.49°, intensity 18

Crystal structure
a b c (Å): 3.4998 13.7097 4.9811
angles (deg): 90.00 90.00 90.00
Space group Cmcm (No. 63)
Symmetry-distinct sites (fractional):
Y: 0.0000 0.0996 0.2500 [4 per cell]
Zn: 0.0000 0.2257 0.7500 [4 per cell]
Zn: 0.0000 0.4208 0.2500 [4 per cell]